Diffraction record for Ta8Os7. The powder X-ray diffraction pattern is computed, not measured: it uses the PBE geometry in Alexandria and Cu Kα (weighted mean of Kα1 and Kα2).

Largest 10 diffraction maxima, in order of falling intensity, 2θ = 10–80°:
2θ (°)  d_spacing  I_rel
41.91  2.155  100
37.89  2.375  84
40.73  2.215  75
42.97  2.105  53
39.03  2.308  39
39.63  2.274  29
67.44  1.389  25
34.94  2.568  23
69.95  1.345  18
45.91  1.977  17

Atomic structure:
Cell: 9.791 9.791 5.136 Å, 90.00 90.00 90.00°
Space group P4_2/mnm (No. 136)
Asymmetric unit:
Ta (0.039, 0.366, 0.000) (multiplicity 8)
Ta (0.176, 0.824, 0.250) (multiplicity 8)
Os (0.000, 0.000, 0.500) (multiplicity 2)
Os (0.071, 0.262, 0.500) (multiplicity 8)
Os (0.102, 0.102, 0.000) (multiplicity 4)

=====

Diffraction record for Ta5Os. The powder X-ray diffraction pattern is computed, not measured: it uses the PBE geometry in Alexandria and Cu Kα (weighted mean of Kα1 and Kα2).

Largest 9 diffraction maxima, in order of falling intensity, 2θ = 10–80°:
2θ (°)  d_spacing  I_rel
39.03  2.308  100
70.94  1.329  26
38.72  2.326  25
39.21  2.298  25
70.29  1.339  18
70.59  1.334  9
56.22  1.636  9
56.49  1.629  9
56.35  1.633  9

Atomic structure:
Cell: 10.385 3.258 6.532 Å, 90.00 109.03 90.00°
Space group C2/m (No. 12)
Asymmetric unit:
Ta (0.000, 0.000, 0.000) (multiplicity 2)
Ta (0.163, 0.500, 0.336) (multiplicity 4)
Ta (0.164, 0.500, 0.828) (multiplicity 4)
Os (0.000, 0.000, 0.500) (multiplicity 2)